1.
This entry pairs a crystal structure of Sr3Tl7In2 with its theoretical powder diffraction line list. Radiation: Cu Kα, 1.54184 Å. Structure: a cell relaxed with GGA-PBE.

Most intense lines, 10° ≤ 2θ ≤ 90°, in order of falling intensity:
29.1°, rel. 100.0
29.2°, rel. 86.1
35.4°, rel. 62.8
37.3°, rel. 54.4
52.3°, rel. 41.4
32.2°, rel. 37.9

Cell and atoms:
```
12
Lattice="5.078 0.000 0.000 0.000 4.823 0.000 -2.448 0.000 15.979" Properties=species:S:1:pos:R:3 pbc="T T T"
Sr 0.000 0.000 0.000
Sr 0.049 2.412 10.243
Sr 2.580 2.412 5.735
Tl 0.011 2.412 2.513
Tl 0.045 0.000 7.257
Tl 0.062 0.000 13.430
Tl 2.539 2.412 0.000
Tl 2.567 0.000 2.549
Tl 2.584 0.000 8.722
Tl 2.618 2.412 13.465
In 0.045 0.000 4.361
In 2.585 0.000 11.618
```

2.
This entry pairs a crystal structure of Sr3Tl4In with its theoretical powder diffraction line list. Radiation: Cu Kα, 1.54184 Å. Structure: a cell relaxed with GGA-PBE.

Most intense lines, 10° ≤ 2θ ≤ 90°, in order of falling intensity:
31.3°, rel. 100.0
22.4°, rel. 42.9
36.7°, rel. 29.1
55.7°, rel. 28.8
34.3°, rel. 27.7
27.0°, rel. 23.1

Cell and atoms:
```
8
Lattice="-2.022 3.471 10.057 2.022 -3.471 10.057 2.022 3.471 -10.057" Properties=species:S:1:pos:R:3 pbc="T T T"
Sr 0.000 0.000 0.000
Sr 2.022 0.000 5.482
Sr 0.000 3.471 4.576
Tl 2.022 1.630 -2.459
Tl 2.022 1.630 2.459
Tl 0.000 1.841 7.598
Tl 0.000 1.841 12.516
In 0.000 0.000 10.057
```

3.
This entry pairs a crystal structure of Sr2TlIn3 with its theoretical powder diffraction line list. Radiation: Cu Kα, 1.54184 Å. Structure: a cell relaxed with GGA-PBE.

Most intense lines, 10° ≤ 2θ ≤ 90°, in order of falling intensity:
35.0°, rel. 100.0
29.7°, rel. 87.3
28.7°, rel. 36.4
34.4°, rel. 31.0
49.9°, rel. 21.5
14.7°, rel. 20.6

Cell and atoms:
```
6
Lattice="6.021 -2.567 0.000 6.021 2.567 0.000 -5.524 0.000 6.028" Properties=species:S:1:pos:R:3 pbc="T T T"
Sr 0.000 0.000 0.000
Sr -2.199 0.000 3.547
Tl 8.408 0.000 0.067
In 1.423 0.000 3.398
In 3.587 0.000 1.146
In 6.256 0.000 2.443
```